Entry 1:
Starting from a GGA-PBE-relaxed structure, the powder X-ray diffraction pattern of DyMg11 was computed for Cu Kα X-rays.

Cell: 12.118 12.118 7.875 Å, 90.00 90.00 90.00°
Space group I4_1/amd (No. 141, origin choice 2)
Symmetry-distinct sites (fractional):
1 Dy 0.000 0.250 0.375
2 Mg 0.000 0.000 0.000
3 Mg 0.000 0.250 0.875
4 Mg 0.121 0.046 0.674

Peak list (8 most intense, 2θ from 10° to 80°, by intensity)
- hkl 3 1 2, 32.59 deg, intensity 100.0
- hkl 4 2 0, 33.06 deg, intensity 49.6
- hkl 3 2 1, 28.88 deg, intensity 42.3
- hkl 2 1 1, 19.89 deg, intensity 37.7
- hkl 1 0 1, 13.41 deg, intensity 31.5
- hkl 1 1 2, 24.89 deg, intensity 31.1
- hkl 5 5 2, 58.76 deg, intensity 25.1
- hkl 5 3 2, 49.58 deg, intensity 24.0

Entry 2:
Starting from a GGA-PBE-relaxed structure, the powder X-ray diffraction pattern of DyMg3 was computed for Cu Kα X-rays.

Cell: 3.832 5.264 10.111 Å, 90.00 90.00 90.00°
Space group Immm (No. 71)
Symmetry-distinct sites (fractional):
1 Dy 0.000 0.000 0.000
2 Mg 0.000 0.000 0.500
3 Mg 0.000 0.500 0.235

Peak list (8 most intense, 2θ from 10° to 80°, by intensity)
- hkl 1 1 2, 33.94 deg, intensity 100.0
- hkl 0 1 1, 19.01 deg, intensity 61.7
- hkl 0 0 2, 17.54 deg, intensity 40.6
- hkl 1 0 1, 24.85 deg, intensity 38.2
- hkl 0 0 4, 35.50 deg, intensity 33.0
- hkl 1 1 6, 62.77 deg, intensity 28.8
- hkl 0 2 4, 50.02 deg, intensity 25.0
- hkl 0 2 0, 34.06 deg, intensity 24.9

Entry 3:
Starting from a GGA-PBE-relaxed structure, the powder X-ray diffraction pattern of Dy3Mg2MnS8 was computed for Cu Kα X-rays.

Cell: 13.434 7.746 7.639 Å, 90.00 123.50 90.00°
Space group C2/m (No. 12)
Symmetry-distinct sites (fractional):
1 Dy 0.000 0.000 0.000
2 Dy 0.250 0.250 0.500
3 Mg 0.120 0.500 0.865
4 Mn 0.000 0.000 0.500
5 S 0.004 0.226 0.281
6 S 0.241 0.000 0.245
7 S 0.247 0.500 0.250

Peak list (8 most intense, 2θ from 10° to 80°, by intensity)
- hkl 2 2 -2, 32.94 deg, intensity 100.0
- hkl 2 0 -1, 14.17 deg, intensity 95.0
- hkl 0 0 1, 13.90 deg, intensity 92.4
- hkl 0 2 1, 26.94 deg, intensity 72.6
- hkl 6 2 -2, 46.91 deg, intensity 69.1
- hkl 4 0 0, 31.95 deg, intensity 56.1
- hkl 2 2 2, 46.20 deg, intensity 47.9
- hkl 1 1 -2, 27.09 deg, intensity 33.2